# 1
For DyPa3, a structure optimized by DFT (GGA-PBE) gives the computed powder diffractogram in this record (CuKα).
Intensities are scaled so that the largest is 100.

Cell and atoms:
```
data_DyPa3
_chemical_formula_sum 'Dy1 Pa3'
_symmetry_space_group_name_H-M 'P 1'
_symmetry_Int_Tables_number 1
_symmetry_space_group_name_Hall 'P 1'
_cell_length_a 4.7030
_cell_length_b 4.7030
_cell_length_c 4.7030
_cell_angle_alpha 90.00
_cell_angle_beta 90.00
_cell_angle_gamma 90.00
loop_
_atom_site_label
_atom_site_fract_x
_atom_site_fract_y
_atom_site_fract_z
_atom_site_occupancy
Dy1 0.0000 0.0000 0.0000 1
Pa1 0.0000 0.5000 0.5000 1
Pa2 0.5000 0.0000 0.5000 1
Pa3 0.5000 0.5000 0.0000 1
```

Top 10 peaks for 2θ from 15° to 90°, sorted by position:
d/Å, 2θ/deg, Rel. int.
4.703, 18.87, 2
3.326, 26.81, 2
2.715, 32.99, 100
2.351, 38.28, 51
2.103, 43.00, 1
1.920, 47.35, 1
1.663, 55.24, 36
1.418, 65.87, 42
1.358, 69.20, 12
1.176, 81.94, 6

=====

# 2
For SrI2O15, a structure optimized by DFT (GGA-PBE) gives the computed powder diffractogram in this record (CuKα).
Intensities are scaled so that the largest is 100.

Cell and atoms:
```
data_SrI2O15
_chemical_formula_sum 'Sr2 I4 O30'
_symmetry_space_group_name_H-M 'P 1'
_symmetry_Int_Tables_number 1
_symmetry_space_group_name_Hall 'P 1'
_cell_length_a 6.4462
_cell_length_b 10.5417
_cell_length_c 10.8926
_cell_angle_alpha 77.97
_cell_angle_beta 87.63
_cell_angle_gamma 88.13
loop_
_atom_site_label
_atom_site_fract_x
_atom_site_fract_y
_atom_site_fract_z
_atom_site_occupancy
Sr1 0.2216 0.3532 0.2114 1
Sr2 0.7784 0.6468 0.7886 1
I1 0.2492 0.2666 0.5352 1
I2 0.2743 0.7552 0.9885 1
I3 0.7257 0.2448 0.0115 1
I4 0.7508 0.7334 0.4648 1
O1 0.0225 0.3197 0.4302 1
O2 0.0266 0.4696 0.9593 1
O3 0.0372 0.7529 0.9009 1
O4 0.1382 0.1140 0.6245 1
O5 0.1455 0.3407 0.6668 1
O6 0.1587 0.8688 0.0925 1
O7 0.2321 0.6047 0.1156 1
O8 0.2919 0.8690 0.3957 1
O9 0.3104 0.9356 0.4721 1
O10 0.3489 0.4197 0.4232 1
O11 0.3509 0.9285 0.9083 1
O12 0.3834 0.1926 0.4069 1
O13 0.4459 0.6735 0.8889 1
O14 0.4895 0.7502 0.3759 1
O15 0.5004 0.1992 0.9192 1
O16 0.4996 0.8008 0.0808 1
O17 0.5105 0.2498 0.6241 1
O18 0.5541 0.3265 0.1111 1
O19 0.6166 0.8074 0.5931 1
O20 0.6491 0.0715 0.0917 1
O21 0.6511 0.5803 0.5768 1
O22 0.6896 0.0644 0.5279 1
O23 0.7081 0.1310 0.6043 1
O24 0.7679 0.3953 0.8844 1
O25 0.8413 0.1312 0.9075 1
O26 0.8545 0.6593 0.3332 1
O27 0.8618 0.8860 0.3755 1
O28 0.9628 0.2471 0.0991 1
O29 0.9734 0.5304 0.0407 1
O30 0.9775 0.6803 0.5698 1
```

Top 10 peaks for 2θ from 15° to 90°, sorted by position:
d/Å, 2θ/deg, Rel. int.
5.323, 16.65, 62
5.211, 17.02, 88
5.154, 17.21, 87
4.978, 17.82, 100
4.670, 19.00, 36
4.641, 19.12, 33
4.162, 21.35, 23
3.219, 27.71, 25
3.115, 28.66, 20
2.798, 31.99, 27

=====

# 3
For Rb2TiHgF6, a structure optimized by DFT (GGA-PBE) gives the computed powder diffractogram in this record (CuKα).
Intensities are scaled so that the largest is 100.

Cell and atoms:
```
data_Rb2TiHgF6
_chemical_formula_sum 'Rb2 Ti1 Hg1 F6'
_symmetry_space_group_name_H-M 'P 1'
_symmetry_Int_Tables_number 1
_symmetry_space_group_name_Hall 'P 1'
_cell_length_a 6.8624
_cell_length_b 6.8624
_cell_length_c 6.8624
_cell_angle_alpha 60.00
_cell_angle_beta 60.00
_cell_angle_gamma 60.00
loop_
_atom_site_label
_atom_site_fract_x
_atom_site_fract_y
_atom_site_fract_z
_atom_site_occupancy
Rb1 0.2500 0.2500 0.2500 1
Rb2 0.7500 0.7500 0.7500 1
Ti1 0.0000 0.0000 0.0000 1
Hg1 0.5000 0.5000 0.5000 1
F1 0.1951 0.1951 0.8049 1
F2 0.1951 0.8049 0.1951 1
F3 0.1951 0.8049 0.8049 1
F4 0.8049 0.1951 0.1951 1
F5 0.8049 0.1951 0.8049 1
F6 0.8049 0.8049 0.1951 1
```

Top 10 peaks for 2θ from 15° to 90°, sorted by position:
d/Å, 2θ/deg, Rel. int.
5.603, 15.82, 14
4.852, 18.28, 11
3.431, 25.97, 100
2.926, 30.55, 21
2.426, 37.05, 32
2.226, 40.52, 17
1.981, 45.80, 37
1.716, 53.41, 19
1.534, 60.32, 23
1.297, 72.95, 23

=====

# 4
For Ba6Sr11I34, a structure optimized by DFT (GGA-PBE) gives the computed powder diffractogram in this record (CuKα).
Intensities are scaled so that the largest is 100.

Cell and atoms:
```
data_Ba6Sr11I34
_chemical_formula_sum 'Ba6 Sr11 I34'
_symmetry_space_group_name_H-M 'P 1'
_symmetry_Int_Tables_number 1
_symmetry_space_group_name_Hall 'P 1'
_cell_length_a 11.9538
_cell_length_b 15.4739
_cell_length_c 15.5915
_cell_angle_alpha 81.45
_cell_angle_beta 70.15
_cell_angle_gamma 71.16
loop_
_atom_site_label
_atom_site_fract_x
_atom_site_fract_y
_atom_site_fract_z
_atom_site_occupancy
Ba1 0.0841 0.4625 0.2098 1
Ba2 0.1661 0.1610 0.9956 1
Ba3 0.2457 0.8302 0.6822 1
Ba4 0.7543 0.1698 0.3178 1
Ba5 0.8339 0.8390 0.0044 1
Ba6 0.9159 0.5375 0.7902 1
Sr1 0.1768 0.7463 0.3126 1
Sr2 0.2400 0.2300 0.6267 1
Sr3 0.3096 0.5005 0.8211 1
Sr4 0.3134 0.0098 0.2955 1
Sr5 0.3900 0.7548 0.9814 1
Sr6 0.5000 0.5000 0.5000 1
Sr7 0.6100 0.2452 0.0186 1
Sr8 0.6866 0.9902 0.7045 1
Sr9 0.6904 0.4995 0.1789 1
Sr10 0.7600 0.7700 0.3733 1
Sr11 0.8232 0.2537 0.6874 1
I1 0.0114 0.6030 0.3983 1
I2 0.0345 0.6247 0.9251 1
I3 0.0611 0.1009 0.7277 1
I4 0.0658 0.1469 0.2402 1
I5 0.1392 0.8829 0.9279 1
I6 0.1585 0.3538 0.8107 1
I7 0.1933 0.8709 0.4638 1
I8 0.2153 0.6064 0.6426 1
I9 0.2564 0.6182 0.1340 1
I10 0.3220 0.8701 0.1559 1
I11 0.3308 0.3804 0.0082 1
I12 0.3328 0.1062 0.4517 1
I13 0.3822 0.0949 0.7694 1
I14 0.4168 0.1188 0.0969 1
I15 0.4255 0.3277 0.4695 1
I16 0.4420 0.6607 0.7955 1
I17 0.4560 0.6289 0.3220 1
I18 0.5440 0.3711 0.6780 1
I19 0.5580 0.3393 0.2045 1
I20 0.5745 0.6723 0.5305 1
I21 0.5832 0.8812 0.9031 1
I22 0.6178 0.9051 0.2306 1
I23 0.6672 0.8938 0.5483 1
I24 0.6692 0.6196 0.9918 1
I25 0.6780 0.1299 0.8441 1
I26 0.7436 0.3818 0.8660 1
I27 0.7847 0.3936 0.3574 1
I28 0.8067 0.1291 0.5362 1
I29 0.8415 0.6462 0.1893 1
I30 0.8608 0.1171 0.0721 1
I31 0.9342 0.8531 0.7598 1
I32 0.9389 0.8991 0.2723 1
I33 0.9655 0.3753 0.0749 1
I34 0.9886 0.3970 0.6017 1
```

Top 10 peaks for 2θ from 15° to 90°, sorted by position:
d/Å, 2θ/deg, Rel. int.
4.773, 18.59, 55
3.658, 24.33, 90
3.591, 24.79, 92
3.561, 25.01, 48
3.526, 25.26, 63
3.348, 26.63, 55
3.311, 26.93, 72
3.272, 27.25, 100
2.943, 30.37, 47
2.237, 40.32, 36